[1]
Diffraction record for Sc3Sb2Ir. The powder diffractogram is calculated, not measured: it uses DFT lattice parameters and positions (GGA-PBE) and Cu Kα, 1.54184 Å.
Peak positions follow from Bragg's law for the DFT cell and can differ from measured ones.

Structural model:
Cell lengths 11.4546, 4.2565, 11.0937 Å; angles 90.00, 90.00, 90.00 degrees
Fractional coordinates of all 24 atoms:
Sc (0.0560, 0.2500, 0.1253)
Sc (0.1167, 0.7500, 0.5459)
Sc (0.2489, 0.7500, 0.2910)
Sc (0.2511, 0.2500, 0.7910)
Sc (0.3833, 0.2500, 0.0459)
Sc (0.4440, 0.7500, 0.6253)
Sc (0.5560, 0.2500, 0.3747)
Sc (0.6167, 0.7500, 0.9541)
Sc (0.7489, 0.7500, 0.2090)
Sc (0.7511, 0.2500, 0.7090)
Sc (0.8833, 0.2500, 0.4541)
Sc (0.9440, 0.7500, 0.8747)
Sb (0.0145, 0.2500, 0.7039)
Sb (0.1848, 0.7500, 0.9995)
Sb (0.3152, 0.2500, 0.4995)
Sb (0.4855, 0.7500, 0.2039)
Sb (0.5145, 0.2500, 0.7961)
Sb (0.6848, 0.7500, 0.5005)
Sb (0.8152, 0.2500, 0.0005)
Sb (0.9855, 0.7500, 0.2961)
Ir (0.1177, 0.2500, 0.3657)
Ir (0.3823, 0.7500, 0.8657)
Ir (0.6177, 0.2500, 0.1343)
Ir (0.8823, 0.7500, 0.6343)

Top 10 peaks for 15° ≤ 2θ ≤ 90°, in order of rising 2θ:
- 2θ 17.4, intensity 675
- 2θ 17.8, intensity 483
- 2θ 23.7, intensity 869
- 2θ 25.3, intensity 706
- 2θ 30.7, intensity 584
- 2θ 32.1, intensity 774
- 2θ 35.5, intensity 651
- 2θ 38.8, intensity 1000
- 2θ 42.0, intensity 867
- 2θ 42.5, intensity 691


[2]
Diffraction record for CsNa4. The powder diffractogram is calculated, not measured: it uses DFT lattice parameters and positions (GGA-PBE) and Cu Kα, 1.54184 Å.
Peak positions follow from Bragg's law for the DFT cell and can differ from measured ones.

Structural model:
Cell lengths 8.3234, 8.3234, 8.3048 Å; angles 90.00, 90.00, 115.21 degrees
Fractional coordinates of all 10 atoms:
Cs (0.2383, 0.7617, 0.7500)
Cs (0.7617, 0.2383, 0.2500)
Na (0.0859, 0.9141, 0.2500)
Na (0.2939, 0.2939, 0.0000)
Na (0.2939, 0.2939, 0.5000)
Na (0.3367, 0.6633, 0.2500)
Na (0.6633, 0.3367, 0.7500)
Na (0.7061, 0.7061, 0.0000)
Na (0.7061, 0.7061, 0.5000)
Na (0.9141, 0.0859, 0.7500)

Top 10 peaks for 15° ≤ 2θ ≤ 90°, in order of rising 2θ:
- 2θ 15.9, intensity 1000
- 2θ 19.9, intensity 310
- 2θ 21.4, intensity 243
- 2θ 23.6, intensity 635
- 2θ 24.0, intensity 986
- 2θ 24.9, intensity 606
- 2θ 29.4, intensity 615
- 2θ 35.2, intensity 273
- 2θ 37.4, intensity 302
- 2θ 39.2, intensity 484


Repeat the first record exactly.
Diffraction record for Sc3Sb2Ir. The powder diffractogram is calculated, not measured: it uses DFT lattice parameters and positions (GGA-PBE) and Cu Kα, 1.54184 Å.
Peak positions follow from Bragg's law for the DFT cell and can differ from measured ones.

Structural model:
Cell lengths 11.4546, 4.2565, 11.0937 Å; angles 90.00, 90.00, 90.00 degrees
Fractional coordinates of all 24 atoms:
Sc (0.0560, 0.2500, 0.1253)
Sc (0.1167, 0.7500, 0.5459)
Sc (0.2489, 0.7500, 0.2910)
Sc (0.2511, 0.2500, 0.7910)
Sc (0.3833, 0.2500, 0.0459)
Sc (0.4440, 0.7500, 0.6253)
Sc (0.5560, 0.2500, 0.3747)
Sc (0.6167, 0.7500, 0.9541)
Sc (0.7489, 0.7500, 0.2090)
Sc (0.7511, 0.2500, 0.7090)
Sc (0.8833, 0.2500, 0.4541)
Sc (0.9440, 0.7500, 0.8747)
Sb (0.0145, 0.2500, 0.7039)
Sb (0.1848, 0.7500, 0.9995)
Sb (0.3152, 0.2500, 0.4995)
Sb (0.4855, 0.7500, 0.2039)
Sb (0.5145, 0.2500, 0.7961)
Sb (0.6848, 0.7500, 0.5005)
Sb (0.8152, 0.2500, 0.0005)
Sb (0.9855, 0.7500, 0.2961)
Ir (0.1177, 0.2500, 0.3657)
Ir (0.3823, 0.7500, 0.8657)
Ir (0.6177, 0.2500, 0.1343)
Ir (0.8823, 0.7500, 0.6343)

Top 10 peaks for 15° ≤ 2θ ≤ 90°, in order of rising 2θ:
- 2θ 17.4, intensity 675
- 2θ 17.8, intensity 483
- 2θ 23.7, intensity 869
- 2θ 25.3, intensity 706
- 2θ 30.7, intensity 584
- 2θ 32.1, intensity 774
- 2θ 35.5, intensity 651
- 2θ 38.8, intensity 1000
- 2θ 42.0, intensity 867
- 2θ 42.5, intensity 691